Theoretical X-ray powder pattern of Ac2AgMoO6 for copper Kα, from a GGA+U-relaxed structure.
Kinematic intensities with the Lorentz-polarization factor, no thermal factor.

Main lines, low angle first (10 to 90 degrees two-theta):
16.4 deg, rel. 16
27.9 deg, rel. 100
31.8 deg, rel. 35
33.2 deg, rel. 12
36.0 deg, rel. 10
40.4 deg, rel. 10
45.6 deg, rel. 18
46.7 deg, rel. 27
54.3 deg, rel. 32
56.1 deg, rel. 12
57.6 deg, rel. 10
75.1 deg, rel. 10

Crystal structure
```
10
Lattice="5.626 0.000 0.000 0.000 5.626 0.000 0.000 0.000 5.395" Properties=species:S:1:pos:R:3 pbc="T T T"
Ac 0.000 2.813 0.000
Ac 2.813 0.000 0.000
Ag 0.000 0.000 2.709
Mo 2.813 2.813 3.165
O 0.000 0.000 0.559
O 1.539 1.539 3.944
O 1.539 4.087 3.944
O 2.813 2.813 1.303
O 4.087 1.539 3.944
O 4.087 4.087 3.944
```